[1]
Structure and calculated powder XRD pattern of Ni5H2N (the PBE geometry in Alexandria; Cu Ka).
No peak broadening, texture or thermal motion is included.

Main lines, sorted by position (10 to 80 degrees two-theta):
- 41.72°, I 88.0
- 41.83°, I 93.1
- 42.30°, I 6.8
- 43.77°, I 2.6
- 48.62°, I 100.0
- 54.13°, I 2.1
- 71.09°, I 7.5
- 71.19°, I 36.9
- 71.39°, I 9.3
- 71.50°, I 2.5

Structure:
```
data_Ni5H2N
_symmetry_space_group_name_H-M 'P n m a'
_symmetry_Int_Tables_number 62
_symmetry_space_group_name_Hall '-P 2ac 2n'
_cell_length_a 5.305
_cell_length_b 3.749
_cell_length_c 13.212
_cell_angle_alpha 90.00
_cell_angle_beta 90.00
_cell_angle_gamma 90.00
loop_
_atom_site_label
_atom_site_type_symbol
_atom_site_fract_x
_atom_site_fract_y
_atom_site_fract_z
_atom_site_occupancy
Ni1 Ni 0.100 0.250 0.156 1
Ni2 Ni 0.109 0.250 0.346 1
Ni3 Ni 0.140 0.250 0.555 1
Ni4 Ni 0.141 0.250 0.948 1
Ni5 Ni 0.158 0.250 0.751 1
H1 H 0.081 0.750 0.168 1
H2 H 0.139 0.750 0.936 1
N1 N 0.141 0.750 0.559 1
```

[2]
Structure and calculated powder XRD pattern of PrSm2TiN4 (the PBE geometry in Alexandria; Cu Ka).
No peak broadening, texture or thermal motion is included.

Main lines, sorted by position (10 to 80 degrees two-theta):
- 26.50°, I 65.1
- 29.35°, I 40.2
- 29.69°, I 48.3
- 30.47°, I 100.0
- 34.89°, I 38.2
- 37.23°, I 66.4
- 42.24°, I 22.9
- 46.10°, I 27.9
- 48.32°, I 24.6
- 51.12°, I 26.7

Structure:
```
data_PrSm2TiN4
_symmetry_space_group_name_H-M 'C m c m'
_symmetry_Int_Tables_number 63
_symmetry_space_group_name_Hall '-C 2c 2'
_cell_length_a 3.486
_cell_length_b 12.036
_cell_length_c 12.171
_cell_angle_alpha 90.00
_cell_angle_beta 90.00
_cell_angle_gamma 90.00
loop_
_atom_site_label
_atom_site_type_symbol
_atom_site_fract_x
_atom_site_fract_y
_atom_site_fract_z
_atom_site_occupancy
Pr1 Pr 0.000 0.098 0.250 1
Sm1 Sm 0.000 0.370 0.040 1
Ti1 Ti 0.000 0.167 0.750 1
N1 N 0.000 0.000 0.000 1
N2 N 0.000 0.265 0.629 1
N3 N 0.000 0.425 0.250 1
```